For USe2, a cell relaxed with PBE gives the theoretical XRD peak list in this record (Cu Kα).
Kinematic intensities with the Lorentz-polarization factor, no thermal factor.

Largest 10 diffraction maxima, low angle first, 10 to 90 degrees two-theta:
2θ (°)	d_spacing	Rel. int.
23.05	3.858	1000
29.79	2.999	185
33.13	2.704	204
33.23	2.696	203
37.36	2.407	659
37.74	2.384	308
38.26	2.352	415
43.74	2.069	147
45.60	1.989	352
48.00	1.895	305

Crystal structure
```
USe2
1.0
10.661 0.000 0.000
0.000 10.661 0.000
0.000 0.000 6.567
U Se
10 20
direct
0.091 0.905 0.249 U
0.095 0.591 0.751 U
0.250 0.250 0.142 U
0.405 0.909 0.751 U
0.409 0.595 0.249 U
0.591 0.405 0.751 U
0.595 0.091 0.249 U
0.750 0.750 0.858 U
0.905 0.409 0.249 U
0.909 0.095 0.751 U
0.041 0.163 0.381 Se
0.042 0.337 0.886 Se
0.163 0.042 0.886 Se
0.163 0.459 0.381 Se
0.250 0.750 0.000 Se
0.250 0.750 0.500 Se
0.337 0.041 0.381 Se
0.337 0.458 0.886 Se
0.458 0.163 0.886 Se
0.459 0.337 0.381 Se
0.541 0.663 0.619 Se
0.542 0.837 0.114 Se
0.663 0.542 0.114 Se
0.663 0.959 0.619 Se
0.750 0.250 0.000 Se
0.750 0.250 0.500 Se
0.837 0.541 0.619 Se
0.837 0.958 0.114 Se
0.958 0.663 0.114 Se
0.959 0.837 0.619 Se
```

For WSe2, a cell relaxed with PBE gives the theoretical XRD peak list in this record (Cu Kα).
Kinematic intensities with the Lorentz-polarization factor, no thermal factor.

Largest 10 diffraction maxima, low angle first, 10 to 90 degrees two-theta:
2θ (°)	d_spacing	Rel. int.
12.92	6.851	1000
31.76	2.818	284
33.77	2.654	251
35.21	2.549	164
36.91	2.436	177
38.83	2.319	243
40.95	2.204	243
43.25	2.092	182
55.26	1.662	252
80.53	1.193	169

Crystal structure
```
WSe2
1.0
3.324 0.000 0.000
-1.662 2.879 0.000
0.000 0.000 27.403
W Se
4 8
direct
0.000 0.000 0.000 W
0.000 0.000 0.250 W
0.000 0.000 0.750 W
0.667 0.333 0.500 W
0.000 0.000 0.439 Se
0.000 0.000 0.561 Se
0.333 0.667 0.189 Se
0.333 0.667 0.312 Se
0.333 0.667 0.688 Se
0.333 0.667 0.811 Se
0.667 0.333 0.061 Se
0.667 0.333 0.939 Se
```

For ZrSe2, a cell relaxed with PBE gives the theoretical XRD peak list in this record (Cu Kα).
Kinematic intensities with the Lorentz-polarization factor, no thermal factor.

Largest 10 diffraction maxima, low angle first, 10 to 90 degrees two-theta:
2θ (°)	d_spacing	Rel. int.
19.78	4.489	710
27.71	3.219	394
30.41	2.939	668
30.79	2.904	1000
38.70	2.327	254
40.18	2.244	310
40.47	2.229	917
46.98	1.934	544
47.75	1.905	267
80.94	1.188	211

Crystal structure
```
ZrSe2
1.0
6.020 0.000 0.000
0.000 6.736 0.000
0.000 0.000 3.809
Zr Se
2 4
direct
0.000 0.000 0.000 Zr
0.500 0.500 0.500 Zr
0.242 0.346 0.000 Se
0.258 0.846 0.500 Se
0.742 0.154 0.500 Se
0.758 0.654 0.000 Se
```

For ZrSe2, a cell relaxed with PBE gives the theoretical XRD peak list in this record (Cu Kα).
Kinematic intensities with the Lorentz-polarization factor, no thermal factor.

Largest 10 diffraction maxima, low angle first, 10 to 90 degrees two-theta:
2θ (°)	d_spacing	Rel. int.
12.75	6.945	1000
28.74	3.106	255
30.38	2.942	989
32.88	2.724	252
35.57	2.524	707
38.90	2.315	441
42.32	2.136	415
47.75	1.905	217
48.28	1.885	716
81.49	1.181	209

Crystal structure
```
ZrSe2
1.0
-6.945 6.945 1.905
6.945 -6.945 1.905
6.945 6.945 -1.905
Zr Se
4 8
direct
0.164 0.330 0.494 Zr
0.330 0.836 0.166 Zr
0.670 0.164 0.834 Zr
0.836 0.670 0.506 Zr
0.037 0.667 0.704 Se
0.308 0.645 0.952 Se
0.333 0.037 0.370 Se
0.355 0.308 0.663 Se
0.645 0.692 0.337 Se
0.667 0.963 0.630 Se
0.692 0.355 0.048 Se
0.963 0.333 0.296 Se
```

For ZrSe2, a cell relaxed with PBE gives the theoretical XRD peak list in this record (Cu Kα).
Kinematic intensities with the Lorentz-polarization factor, no thermal factor.

Largest 10 diffraction maxima, low angle first, 10 to 90 degrees two-theta:
2θ (°)	d_spacing	Rel. int.
13.21	6.702	1000
27.99	3.187	239
30.33	2.947	228
30.46	2.935	926
33.89	2.645	228
34.01	2.636	737
38.39	2.345	348
43.68	2.072	510
48.62	1.873	420
49.41	1.844	306

Crystal structure
```
ZrSe2
1.0
3.763 0.000 0.000
0.000 6.563 0.000
0.000 0.000 13.403
Zr Se
4 8
direct
0.000 0.028 0.000 Zr
0.000 0.471 0.501 Zr
0.500 0.529 0.001 Zr
0.500 0.972 0.500 Zr
0.000 0.139 0.621 Se
0.000 0.361 0.120 Se
0.000 0.697 0.880 Se
0.000 0.803 0.381 Se
0.500 0.197 0.881 Se
0.500 0.303 0.380 Se
0.500 0.639 0.620 Se
0.500 0.861 0.121 Se
```

For ZrSe2, a cell relaxed with PBE gives the theoretical XRD peak list in this record (Cu Kα).
Kinematic intensities with the Lorentz-polarization factor, no thermal factor.

Largest 10 diffraction maxima, low angle first, 10 to 90 degrees two-theta:
2θ (°)	d_spacing	Rel. int.
18.37	4.829	736
28.51	3.131	204
32.28	2.773	535
33.41	2.682	1000
38.39	2.345	218
47.14	1.928	726
47.97	1.897	353
59.01	1.565	366
77.50	1.232	163
88.90	1.101	239

Crystal structure
```
ZrSe2
1.0
5.364 0.000 0.000
0.000 5.364 0.000
0.000 0.000 11.091
Zr Se
4 8
direct
0.000 0.250 0.375 Zr
0.000 0.750 0.625 Zr
0.500 0.250 0.125 Zr
0.500 0.750 0.875 Zr
0.000 0.250 0.133 Se
0.000 0.250 0.617 Se
0.000 0.750 0.383 Se
0.000 0.750 0.867 Se
0.500 0.250 0.367 Se
0.500 0.250 0.883 Se
0.500 0.750 0.117 Se
0.500 0.750 0.633 Se
```

For Sm4Si3, a cell relaxed with PBE gives the theoretical XRD peak list in this record (Cu Kα).
Kinematic intensities with the Lorentz-polarization factor, no thermal factor.

Largest 10 diffraction maxima, low angle first, 10 to 90 degrees two-theta:
2θ (°)	d_spacing	Rel. int.
24.26	3.669	487
28.08	3.177	348
31.48	2.842	1000
37.44	2.402	640
49.70	1.834	255
51.88	1.762	522
63.85	1.458	205
65.71	1.421	127
67.55	1.387	179
78.16	1.223	134

Crystal structure
```
Sm4Si3
1.0
-4.493 4.493 4.493
4.493 -4.493 4.493
4.493 4.493 -4.493
Sm Si
8 6
direct
0.000 0.132 0.500 Sm
0.000 0.632 0.500 Sm
0.132 0.500 0.000 Sm
0.368 0.368 0.368 Sm
0.500 0.000 0.132 Sm
0.500 0.000 0.632 Sm
0.632 0.500 0.000 Sm
0.868 0.868 0.868 Sm
0.125 0.875 0.250 Si
0.250 0.125 0.875 Si
0.375 0.625 0.750 Si
0.625 0.750 0.375 Si
0.750 0.375 0.625 Si
0.875 0.250 0.125 Si
```

For SmSi2Tc2, a cell relaxed with PBE gives the theoretical XRD peak list in this record (Cu Kα).
Kinematic intensities with the Lorentz-polarization factor, no thermal factor.

Largest 10 diffraction maxima, low angle first, 10 to 90 degrees two-theta:
2θ (°)	d_spacing	Rel. int.
23.21	3.832	267
33.90	2.644	319
34.73	2.583	182
35.33	2.540	1000
43.89	2.063	361
56.59	1.626	145
57.14	1.612	172
62.64	1.483	179
63.81	1.459	117
75.10	1.265	216

Crystal structure
```
SmSi2Tc2
1.0
4.126 0.000 0.000
0.000 4.126 0.000
0.000 0.000 10.333
Sm Si Tc
2 4 4
direct
0.000 0.000 0.000 Sm
0.500 0.500 0.500 Sm
0.000 0.000 0.377 Si
0.000 0.000 0.623 Si
0.500 0.500 0.123 Si
0.500 0.500 0.877 Si
0.000 0.500 0.250 Tc
0.000 0.500 0.750 Tc
0.500 0.000 0.250 Tc
0.500 0.000 0.750 Tc
```

For Ta2Si3, a cell relaxed with PBE gives the theoretical XRD peak list in this record (Cu Kα).
Kinematic intensities with the Lorentz-polarization factor, no thermal factor.

Largest 10 diffraction maxima, low angle first, 10 to 90 degrees two-theta:
2θ (°)	d_spacing	Rel. int.
20.76	4.279	695
29.37	3.041	793
34.37	2.609	1000
35.12	2.555	644
37.33	2.409	579
39.46	2.284	445
40.37	2.234	430
41.90	2.156	855
42.24	2.139	499
61.31	1.512	501

Crystal structure
```
Ta2Si3
1.0
0.000 6.114 2.621
4.656 0.000 2.621
4.656 6.114 0.000
Ta Si
4 6
direct
0.227 0.773 0.376 Ta
0.626 0.874 0.477 Ta
0.773 0.227 0.624 Ta
0.874 0.626 0.023 Ta
0.182 0.835 0.042 Si
0.208 0.309 0.068 Si
0.309 0.208 0.415 Si
0.389 0.389 0.611 Si
0.639 0.639 0.861 Si
0.835 0.182 0.941 Si
```

For Ta3Si, a cell relaxed with PBE gives the theoretical XRD peak list in this record (Cu Kα).
Kinematic intensities with the Lorentz-polarization factor, no thermal factor.

Largest 10 diffraction maxima, low angle first, 10 to 90 degrees two-theta:
2θ (°)	d_spacing	Rel. int.
24.40	3.649	180
32.61	2.746	448
36.08	2.490	1000
36.65	2.452	540
37.34	2.408	359
39.44	2.285	338
40.30	2.238	728
42.78	2.114	245
57.66	1.599	178
64.49	1.445	196

Crystal structure
```
Ta3Si
1.0
10.217 0.000 0.000
0.000 10.217 0.000
0.000 0.000 5.213
Ta Si
24 8
direct
0.037 0.563 0.235 Ta
0.063 0.963 0.735 Ta
0.104 0.232 0.026 Ta
0.150 0.664 0.718 Ta
0.164 0.850 0.218 Ta
0.232 0.396 0.474 Ta
0.268 0.104 0.474 Ta
0.336 0.650 0.218 Ta
0.350 0.836 0.718 Ta
0.396 0.268 0.026 Ta
0.437 0.537 0.735 Ta
0.463 0.937 0.235 Ta
0.537 0.063 0.765 Ta
0.563 0.463 0.265 Ta
0.604 0.732 0.974 Ta
0.650 0.164 0.282 Ta
0.664 0.350 0.782 Ta
0.732 0.896 0.526 Ta
0.768 0.604 0.526 Ta
0.836 0.150 0.782 Ta
0.850 0.336 0.282 Ta
0.896 0.768 0.974 Ta
0.937 0.037 0.265 Ta
0.963 0.437 0.765 Ta
0.045 0.220 0.532 Si
0.220 0.455 0.968 Si
0.280 0.045 0.968 Si
0.455 0.280 0.532 Si
0.545 0.720 0.468 Si
0.720 0.955 0.032 Si
0.780 0.545 0.032 Si
0.955 0.780 0.468 Si
```

For Ta2Si, a cell relaxed with PBE gives the theoretical XRD peak list in this record (Cu Kα).
Kinematic intensities with the Lorentz-polarization factor, no thermal factor.

Largest 10 diffraction maxima, low angle first, 10 to 90 degrees two-theta:
2θ (°)	d_spacing	Rel. int.
25.08	3.550	269
30.69	2.913	224
34.89	2.571	482
36.03	2.493	1000
36.95	2.433	595
38.55	2.336	475
41.47	2.177	513
45.73	1.984	177
52.26	1.750	266
66.67	1.403	244

Crystal structure
```
Ta2Si
1.0
6.768 0.000 0.000
0.000 3.501 0.000
0.000 0.000 8.340
Ta Si
8 4
direct
0.039 0.250 0.169 Ta
0.140 0.250 0.563 Ta
0.360 0.750 0.063 Ta
0.461 0.750 0.669 Ta
0.539 0.250 0.331 Ta
0.640 0.250 0.937 Ta
0.860 0.750 0.437 Ta
0.961 0.750 0.831 Ta
0.247 0.750 0.358 Si
0.253 0.250 0.858 Si
0.747 0.750 0.142 Si
0.753 0.250 0.642 Si
```

For Tb2ZnSi3, a cell relaxed with PBE gives the theoretical XRD peak list in this record (Cu Kα).
Kinematic intensities with the Lorentz-polarization factor, no thermal factor.

Largest 10 diffraction maxima, low angle first, 10 to 90 degrees two-theta:
2θ (°)	d_spacing	Rel. int.
25.13	3.544	383
25.57	3.483	194
33.71	2.659	1000
34.05	2.633	488
43.99	2.058	168
44.81	2.023	313
45.09	2.011	162
56.77	1.622	223
65.46	1.426	200
75.88	1.254	186

Crystal structure
```
Tb2ZnSi3
1.0
4.021 0.000 0.000
0.000 4.117 0.000
0.000 0.000 6.967
Tb Zn Si
2 1 3
direct
0.000 0.000 0.000 Tb
0.000 0.500 0.484 Tb
0.500 0.500 0.822 Zn
0.500 0.000 0.324 Si
0.500 0.000 0.659 Si
0.500 0.500 0.161 Si
```